1.
The following is a simulated PXRD pattern of La3U2O10. It was derived from a structure optimized by DFT (GGA-PBE), using λ = 1.5418 Å (Cu Kα).
Intensities are scaled so that the largest is 100.

Cell: 12.127 5.556 8.606 Å, 90.00 132.29 90.00°
Space group C2/m (No. 12)
Symmetry-distinct sites (fractional):
La1 0.000 0.000 0.000
La2 0.100 0.500 0.402
U1 0.190 0.000 0.790
O1 0.000 0.223 0.500
O2 0.108 0.243 0.887
O3 0.210 0.265 0.284

Principal peaks in the range 10° ≤ 2θ ≤ 90°, by angle:
27.20 deg, intensity 100, hkl 1 1 1; 28.44 deg, intensity 89, hkl 3 1 -2; 32.20 deg, intensity 42, hkl 0 2 0; 32.32 deg, intensity 21, hkl 2 0 -3; 44.64 deg, intensity 18, hkl 2 0 2; 46.18 deg, intensity 32, hkl 4 2 -1; 46.29 deg, intensity 32, hkl 2 2 -3; 53.69 deg, intensity 15, hkl 5 1 0; 53.88 deg, intensity 15, hkl 1 1 -4; 55.16 deg, intensity 15, hkl 3 3 -2

2.
The following is a simulated PXRD pattern of Eu3In. It was derived from a structure optimized by DFT (GGA-PBE), using λ = 1.5418 Å (Cu Kα).
Intensities are scaled so that the largest is 100.

Cell: 7.4488 7.4488 5.8196 Å, 90.00 90.00 120.00°
Space group P6_3/mmc (No. 194)
Symmetry-distinct sites (fractional):
Eu1 0.1751 0.3502 0.2500
In1 0.3333 0.6667 0.7500

Principal peaks in the range 10° ≤ 2θ ≤ 90°, by angle:
27.66 deg, intensity 24, hkl 2 0 0; 30.73 deg, intensity 25, hkl 0 0 2; 31.72 deg, intensity 100, hkl 2 0 1; 41.81 deg, intensity 16, hkl 2 0 2; 48.91 deg, intensity 19, hkl 2 2 0; 55.26 deg, intensity 20, hkl 2 0 3; 58.88 deg, intensity 22, hkl 2 2 2; 59.48 deg, intensity 16, hkl 4 0 1; 80.50 deg, intensity 12, hkl 4 2 1; 84.51 deg, intensity 8, hkl 2 2 4

3.
The following is a simulated PXRD pattern of ZrU9O20. It was derived from a structure optimized by DFT (GGA-PBE), using λ = 1.5418 Å (Cu Kα).
Intensities are scaled so that the largest is 100.

Cell: 6.606 7.631 8.529 Å, 102.92 97.43 106.78°
Space group P-1 (No. 2)
Symmetry-distinct sites (fractional):
Zr1 0.000 0.000 0.000
U1 0.000 0.500 0.000
U2 0.199 0.399 0.398
U3 0.199 0.900 0.398
U4 0.398 0.299 0.801
U5 0.401 0.801 0.801
O1 0.049 0.219 0.854
O2 0.050 0.732 0.854
O3 0.150 0.675 0.550
O4 0.151 0.175 0.550
O5 0.243 0.121 0.243
O6 0.248 0.624 0.249
O7 0.341 0.072 0.952
O8 0.349 0.575 0.949
O9 0.450 0.526 0.650
O10 0.451 0.025 0.651

Principal peaks in the range 10° ≤ 2θ ≤ 90°, by angle:
28.66 deg, intensity 100, hkl 1 0 2; 33.21 deg, intensity 36, hkl 1 2 0; 47.68 deg, intensity 50, hkl 3 0 1; 56.58 deg, intensity 47, hkl 2 2 2; 59.34 deg, intensity 10, hkl 2 0 4; 69.73 deg, intensity 8, hkl 2 4 0; 77.06 deg, intensity 20, hkl 5 0 0; 79.44 deg, intensity 10, hkl 3 4 -3; 79.46 deg, intensity 5, hkl 4 2 1; 88.87 deg, intensity 18, hkl 5 2 -2

4.
The following is a simulated PXRD pattern of La4Al6O15. It was derived from a structure optimized by DFT (GGA-PBE), using λ = 1.5418 Å (Cu Kα).
Intensities are scaled so that the largest is 100.

Cell: 5.055 6.969 21.220 Å, 93.42 90.00 111.27°
Space group P1 (No. 1)
Symmetry-distinct sites (fractional):
La1 0.000 0.000 0.000
La2 0.005 0.984 0.197
La3 0.279 0.558 0.099
La4 0.300 0.574 0.902
La5 0.587 0.985 0.698
La6 0.625 0.011 0.501
La7 0.880 0.573 0.402
La8 0.903 0.564 0.599
Al1 0.145 0.129 0.605
Al2 0.153 0.101 0.385
Al3 0.294 0.610 0.275
Al4 0.302 0.444 0.495
Al5 0.330 0.457 0.714
Al6 0.564 0.106 0.885
Al7 0.594 0.115 0.104
Al8 0.596 0.946 0.325
Al9 0.738 0.453 0.214
Al10 0.757 0.443 0.995
Al11 0.930 0.613 0.774
Al12 0.963 0.948 0.825
O1 0.034 0.684 0.008
O2 0.039 0.860 0.747
O3 0.075 0.211 0.680
O4 0.076 0.288 0.550
O5 0.143 0.347 0.419
O6 0.212 0.525 0.788
O7 0.222 0.119 0.878
O8 0.250 0.121 0.102
O9 0.267 0.686 0.509
O10 0.337 0.651 0.663
O11 0.381 0.439 0.221
O12 0.408 0.437 0.998
O13 0.434 0.860 0.247
O14 0.458 0.698 0.352
O15 0.489 0.124 0.602
O16 0.510 0.118 0.378
O17 0.555 0.914 0.938
O18 0.630 0.874 0.092
O19 0.644 0.434 0.497
O20 0.671 0.440 0.721
O21 0.681 0.036 0.811
O22 0.751 0.213 0.180
O23 0.817 0.345 0.920
O24 0.825 0.279 0.050
O25 0.854 0.698 0.852
O26 0.868 0.889 0.591
O27 0.920 0.644 0.162
O28 0.924 0.522 0.288
O29 0.966 0.033 0.311
O30 0.977 0.923 0.438

Principal peaks in the range 10° ≤ 2θ ≤ 90°, by angle:
19.40 deg, intensity 42, hkl -1 1 1; 27.27 deg, intensity 59, hkl 1 -2 1; 27.53 deg, intensity 54, hkl 0 2 0; 28.00 deg, intensity 100, hkl 1 -1 5; 28.67 deg, intensity 64, hkl -1 1 5; 35.52 deg, intensity 36, hkl 2 -1 0; 42.70 deg, intensity 27, hkl 0 0 10; 43.58 deg, intensity 33, hkl 1 -3 5; 45.87 deg, intensity 31, hkl -1 3 5; 53.14 deg, intensity 24, hkl 0 2 10

5.
The following is a simulated PXRD pattern of CsUAgS3. It was derived from a structure optimized by DFT (GGA-PBE), using λ = 1.5418 Å (Cu Kα).
Intensities are scaled so that the largest is 100.

Cell: 4.137 15.585 10.549 Å, 90.00 90.00 90.00°
Space group Cmcm (No. 63)
Symmetry-distinct sites (fractional):
Cs1 0.000 0.239 0.250
U1 0.000 0.500 0.000
Ag1 0.000 0.045 0.750
S1 0.000 0.113 0.537
S2 0.000 0.447 0.750

Principal peaks in the range 10° ≤ 2θ ≤ 90°, by angle:
11.36 deg, intensity 100, hkl 0 2 0; 20.33 deg, intensity 59, hkl 0 2 2; 22.82 deg, intensity 45, hkl 0 4 0; 27.56 deg, intensity 27, hkl 1 3 0; 28.00 deg, intensity 66, hkl 1 1 2; 28.86 deg, intensity 57, hkl 1 3 1; 32.46 deg, intensity 54, hkl 1 3 2; 33.99 deg, intensity 50, hkl 0 0 4; 38.64 deg, intensity 24, hkl 0 6 2; 40.05 deg, intensity 44, hkl 1 5 2

6.
The following is a simulated PXRD pattern of K2TiSi6O15. It was derived from a structure optimized by DFT (GGA-PBE), using λ = 1.5418 Å (Cu Kα).
Intensities are scaled so that the largest is 100.

Cell: 12.757 7.389 15.374 Å, 90.00 106.35 90.00°
Space group Cc (No. 9)
Symmetry-distinct sites (fractional):
K1 0.000 0.074 0.000
K2 0.035 0.329 0.318
Ti1 0.291 0.254 0.892
Si1 0.058 0.215 0.737
Si2 0.225 0.477 0.551
Si3 0.227 0.045 0.226
Si4 0.271 0.064 0.538
Si5 0.331 0.412 0.255
Si6 0.494 0.060 0.048
O1 0.037 0.322 0.641
O2 0.098 0.007 0.720
O3 0.100 0.444 0.037
O4 0.146 0.321 0.816
O5 0.211 0.262 0.520
O6 0.227 0.058 0.948
O7 0.237 0.260 0.257
O8 0.239 0.035 0.123
O9 0.287 0.417 0.990
O10 0.294 0.480 0.658
O11 0.310 0.089 0.795
O12 0.359 0.451 0.839
O13 0.406 0.094 0.563
O14 0.442 0.186 0.962
O15 0.442 0.295 0.261

Principal peaks in the range 10° ≤ 2θ ≤ 90°, by angle:
14.43 deg, intensity 79, hkl 2 0 0; 21.21 deg, intensity 40, hkl 1 1 -3; 24.13 deg, intensity 59, hkl 0 0 4; 24.49 deg, intensity 64, hkl 1 1 3; 24.88 deg, intensity 44, hkl 3 1 -2; 26.99 deg, intensity 100, hkl 0 2 2; 27.98 deg, intensity 27, hkl 2 2 -1; 28.24 deg, intensity 26, hkl 4 0 -2; 29.05 deg, intensity 24, hkl 2 2 -2; 29.18 deg, intensity 44, hkl 4 0 0

7.
The following is a simulated PXRD pattern of ZrCr2. It was derived from a structure optimized by DFT (GGA-PBE), using λ = 1.5418 Å (Cu Kα).
Intensities are scaled so that the largest is 100.

Cell: 7.145 7.145 7.145 Å, 90.00 90.00 90.00°
Space group Fd-3m (No. 227, origin choice 2)
Symmetry-distinct sites (fractional):
Zr1 0.125 0.125 0.125
Cr1 0.000 0.000 0.500

Principal peaks in the range 10° ≤ 2θ ≤ 90°, by angle:
21.54 deg, intensity 2, hkl 1 1 1; 35.54 deg, intensity 49, hkl 2 2 0; 41.94 deg, intensity 100, hkl 3 1 1; 43.89 deg, intensity 23, hkl 2 2 2; 56.11 deg, intensity 1, hkl 3 3 1; 63.82 deg, intensity 17, hkl 4 2 2; 68.20 deg, intensity 28, hkl 5 1 1; 75.23 deg, intensity 22, hkl 4 4 0; 79.33 deg, intensity 1, hkl 5 3 1; 86.06 deg, intensity 7, hkl 6 2 0

8.
The following is a simulated PXRD pattern of SrZr4SnO12. It was derived from a structure optimized by DFT (GGA-PBE), using λ = 1.5418 Å (Cu Kα).
Intensities are scaled so that the largest is 100.

Cell: 8.416 8.093 8.047 Å, 90.00 90.00 90.00°
Space group Amm2 (No. 38)
Symmetry-distinct sites (fractional):
Sr1 0.000 0.000 0.000
Zr1 0.251 0.245 0.288
Sn1 0.500 0.000 0.565
O1 0.000 0.210 0.289
O2 0.219 0.200 0.039
O3 0.233 0.000 0.761
O4 0.333 0.000 0.378
O5 0.500 0.201 0.712

Principal peaks in the range 10° ≤ 2θ ≤ 90°, by angle:
18.79 deg, intensity 65, hkl 1 1 1; 21.11 deg, intensity 12, hkl 2 0 0; 30.70 deg, intensity 100, hkl 2 2 0; 31.35 deg, intensity 48, hkl 0 2 2; 42.99 deg, intensity 19, hkl 4 0 0; 44.79 deg, intensity 16, hkl 0 4 0; 45.07 deg, intensity 12, hkl 0 0 4; 54.16 deg, intensity 23, hkl 4 2 2; 55.31 deg, intensity 22, hkl 2 4 2; 55.49 deg, intensity 20, hkl 2 2 4